For CsRb, the PBE geometry in Alexandria gives the simulated XRD peak list in this record (Cu Kα, 1.54184 Å).

Cell and atoms:
a b c (Å): 10.6163 10.6163 14.3881
angles (deg): 90.00 90.00 90.00
Element x y z (fractional)
Cs  0.0008  0.9995  0.2497
Cs  0.2497  0.2507  0.9996
Cs  0.2503  0.7493  0.4996
Cs  0.4992  0.0005  0.7497
Cs  0.5008  0.5005  0.7503
Cs  0.7497  0.2493  0.0004
Cs  0.7503  0.7507  0.5004
Cs  0.9992  0.4995  0.2503
Rb  0.0012  0.4985  0.7497
Rb  0.2495  0.7510  0.9996
Rb  0.2505  0.2490  0.4996
Rb  0.4988  0.5015  0.2497
Rb  0.5012  0.0015  0.2503
Rb  0.7495  0.7490  0.0004
Rb  0.7505  0.2510  0.5004
Rb  0.9988  0.9985  0.7503

Largest 10 diffraction maxima, in order of rising 2θ, 2θ = 5–70°:
- 20.80 deg, d = 4.271 Å, intensity 100
- 23.70 deg, d = 3.753 Å, intensity 36
- 24.75 deg, d = 3.597 Å, intensity 16
- 33.77 deg, d = 2.654 Å, intensity 15
- 34.54 deg, d = 2.597 Å, intensity 27
- 39.99 deg, d = 2.254 Å, intensity 36
- 41.31 deg, d = 2.185 Å, intensity 16
- 42.32 deg, d = 2.136 Å, intensity 15
- 54.38 deg, d = 1.687 Å, intensity 15
- 60.90 deg, d = 1.521 Å, intensity 10


For CsRb, the PBE geometry in Alexandria gives the simulated XRD peak list in this record (Cu Kα, 1.54184 Å).

Cell and atoms:
a b c (Å): 5.5766 25.2486 8.6155
angles (deg): 90.00 90.00 90.00
Element x y z (fractional)
Cs  0.2500  0.0834  0.0433
Cs  0.2500  0.4166  0.0433
Cs  0.2500  0.7500  0.0718
Cs  0.7500  0.2500  0.9282
Cs  0.7500  0.5834  0.9567
Cs  0.7500  0.9166  0.9567
Rb  0.2500  0.2500  0.4350
Rb  0.2500  0.5833  0.4632
Rb  0.2500  0.9167  0.4632
Rb  0.7500  0.0833  0.5368
Rb  0.7500  0.4167  0.5368
Rb  0.7500  0.7500  0.5650

Largest 10 diffraction maxima, in order of rising 2θ, 2θ = 5–70°:
- 20.62 deg, d = 4.308 Å, intensity 20
- 21.11 deg, d = 4.208 Å, intensity 30
- 21.72 deg, d = 4.091 Å, intensity 100
- 23.20 deg, d = 3.835 Å, intensity 16
- 29.68 deg, d = 3.010 Å, intensity 16
- 32.10 deg, d = 2.788 Å, intensity 10
- 37.37 deg, d = 2.406 Å, intensity 24
- 38.74 deg, d = 2.324 Å, intensity 12
- 41.36 deg, d = 2.183 Å, intensity 12
- 44.28 deg, d = 2.046 Å, intensity 11


For Cs5Rb24, the PBE geometry in Alexandria gives the simulated XRD peak list in this record (Cu Kα, 1.54184 Å).

Cell and atoms:
a b c (Å): 15.2401 15.2401 15.2401
angles (deg): 109.47 109.47 109.47
Element x y z (fractional)
Cs  0.0000  0.0000  0.0000
Cs  0.0000  0.0000  0.3637
Cs  0.0000  0.3637  0.0000
Cs  0.3637  0.0000  0.0000
Cs  0.6363  0.6363  0.6363
Rb  0.0000  0.3204  0.5955
Rb  0.0000  0.5955  0.3204
Rb  0.0000  0.6227  0.8094
Rb  0.0000  0.8094  0.6227
Rb  0.1867  0.3773  0.3773
Rb  0.1906  0.1906  0.8133
Rb  0.1906  0.8133  0.1906
Rb  0.2751  0.6796  0.6796
Rb  0.3204  0.0000  0.5955
Rb  0.3204  0.5955  0.0000
Rb  0.3773  0.1867  0.3773
Rb  0.3773  0.3773  0.1867
Rb  0.4045  0.4045  0.7249
Rb  0.4045  0.7249  0.4045
Rb  0.5955  0.0000  0.3204
Rb  0.5955  0.3204  0.0000
Rb  0.6227  0.0000  0.8094
Rb  0.6227  0.8094  0.0000
Rb  0.6796  0.2751  0.6796
Rb  0.6796  0.6796  0.2751
Rb  0.7249  0.4045  0.4045
Rb  0.8094  0.0000  0.6227
Rb  0.8094  0.6227  0.0000
Rb  0.8133  0.1906  0.1906

Largest 10 diffraction maxima, in order of rising 2θ, 2θ = 5–70°:
- 21.42 deg, d = 4.148 Å, intensity 100
- 23.71 deg, d = 3.752 Å, intensity 25
- 24.79 deg, d = 3.592 Å, intensity 12
- 25.81 deg, d = 3.451 Å, intensity 9
- 35.34 deg, d = 2.540 Å, intensity 7
- 36.09 deg, d = 2.489 Å, intensity 14
- 37.56 deg, d = 2.395 Å, intensity 32
- 40.36 deg, d = 2.235 Å, intensity 7
- 43.64 deg, d = 2.074 Å, intensity 9
- 44.28 deg, d = 2.046 Å, intensity 6


For CsRb, the PBE geometry in Alexandria gives the simulated XRD peak list in this record (Cu Kα, 1.54184 Å).

Cell and atoms:
a b c (Å): 5.1059 8.4078 9.4690
angles (deg): 90.00 97.39 90.00
Element x y z (fractional)
Cs  0.1046  0.2500  0.3549
Cs  0.8954  0.7500  0.6451
Rb  0.4279  0.7500  0.1328
Rb  0.5721  0.2500  0.8672

Largest 10 diffraction maxima, in order of rising 2θ, 2θ = 5–70°:
- 20.98 deg, d = 4.235 Å, intensity 25
- 21.13 deg, d = 4.204 Å, intensity 27
- 21.64 deg, d = 4.107 Å, intensity 100
- 29.95 deg, d = 2.984 Å, intensity 21
- 31.61 deg, d = 2.830 Å, intensity 9
- 37.09 deg, d = 2.424 Å, intensity 10
- 37.28 deg, d = 2.412 Å, intensity 22
- 37.37 deg, d = 2.406 Å, intensity 12
- 38.34 deg, d = 2.348 Å, intensity 16
- 44.04 deg, d = 2.056 Å, intensity 9


For CsRb6, the PBE geometry in Alexandria gives the simulated XRD peak list in this record (Cu Kα, 1.54184 Å).

Cell and atoms:
a b c (Å): 7.3112 7.3112 13.0481
angles (deg): 90.00 90.00 90.00
Element x y z (fractional)
Cs  0.0000  0.0000  0.0000
Rb  0.0000  0.0000  0.5000
Rb  0.0000  0.5000  0.2738
Rb  0.0000  0.5000  0.7262
Rb  0.5000  0.0000  0.2738
Rb  0.5000  0.0000  0.7262
Rb  0.5000  0.5000  0.0000

Largest 10 diffraction maxima, in order of rising 2θ, 2θ = 5–70°:
- 18.46 deg, d = 4.806 Å, intensity 12
- 21.94 deg, d = 4.052 Å, intensity 100
- 24.35 deg, d = 3.656 Å, intensity 41
- 27.33 deg, d = 3.263 Å, intensity 15
- 34.70 deg, d = 2.585 Å, intensity 16
- 36.93 deg, d = 2.434 Å, intensity 23
- 41.44 deg, d = 2.179 Å, intensity 37
- 44.73 deg, d = 2.026 Å, intensity 13
- 45.24 deg, d = 2.005 Å, intensity 10
- 63.67 deg, d = 1.462 Å, intensity 9


For CsRb5, the PBE geometry in Alexandria gives the simulated XRD peak list in this record (Cu Kα, 1.54184 Å).

Cell and atoms:
a b c (Å): 8.1398 8.1398 9.7984
angles (deg): 90.00 90.00 120.00
Element x y z (fractional)
Cs  0.0000  0.0000  0.0000
Rb  0.0000  0.0000  0.5000
Rb  0.3333  0.6667  0.2551
Rb  0.3333  0.6667  0.7449
Rb  0.6667  0.3333  0.2551
Rb  0.6667  0.3333  0.7449

Largest 10 diffraction maxima, in order of rising 2θ, 2θ = 5–70°:
- 21.84 deg, d = 4.070 Å, intensity 100
- 22.10 deg, d = 4.023 Å, intensity 93
- 31.26 deg, d = 2.861 Å, intensity 38
- 38.31 deg, d = 2.350 Å, intensity 23
- 38.46 deg, d = 2.341 Å, intensity 43
- 43.10 deg, d = 2.099 Å, intensity 32
- 44.52 deg, d = 2.035 Å, intensity 15
- 50.24 deg, d = 1.816 Å, intensity 20
- 54.08 deg, d = 1.696 Å, intensity 16
- 59.01 deg, d = 1.565 Å, intensity 13


For Cs4Rb, the PBE geometry in Alexandria gives the simulated XRD peak list in this record (Cu Kα, 1.54184 Å).

Cell and atoms:
a b c (Å): 9.2632 9.2632 9.2632
angles (deg): 114.12 114.12 100.53
Element x y z (fractional)
Cs  0.1504  0.1504  0.6077
Cs  0.4573  0.8496  0.0000
Cs  0.5427  0.5427  0.3923
Cs  0.8496  0.4573  0.0000
Rb  0.0000  0.0000  0.0000

Largest 10 diffraction maxima, in order of rising 2θ, 2θ = 5–70°:
- 17.61 deg, d = 5.037 Å, intensity 33
- 19.49 deg, d = 4.554 Å, intensity 100
- 21.10 deg, d = 4.211 Å, intensity 78
- 24.21 deg, d = 3.676 Å, intensity 20
- 25.00 deg, d = 3.562 Å, intensity 23
- 27.61 deg, d = 3.231 Å, intensity 25
- 31.90 deg, d = 2.805 Å, intensity 24
- 35.13 deg, d = 2.555 Å, intensity 31
- 37.59 deg, d = 2.393 Å, intensity 31
- 39.52 deg, d = 2.280 Å, intensity 33


For Cs3Rb8, the PBE geometry in Alexandria gives the simulated XRD peak list in this record (Cu Kα, 1.54184 Å).

Cell and atoms:
a b c (Å): 8.9272 8.9272 17.9730
angles (deg): 102.76 102.76 49.09
Element x y z (fractional)
Cs  0.0000  0.0000  0.0000
Cs  0.0909  0.0909  0.6397
Cs  0.9091  0.9091  0.3603
Rb  0.1843  0.1843  0.2724
Rb  0.2736  0.2736  0.9105
Rb  0.3615  0.3615  0.5464
Rb  0.4562  0.4562  0.1812
Rb  0.5438  0.5438  0.8188
Rb  0.6385  0.6385  0.4536
Rb  0.7264  0.7264  0.0895
Rb  0.8157  0.8157  0.7276

Largest 10 diffraction maxima, in order of rising 2θ, 2θ = 5–70°:
- 21.22 deg, d = 4.187 Å, intensity 100
- 24.00 deg, d = 3.708 Å, intensity 19
- 24.35 deg, d = 3.656 Å, intensity 18
- 25.30 deg, d = 3.521 Å, intensity 16
- 34.45 deg, d = 2.603 Å, intensity 14
- 35.15 deg, d = 2.553 Å, intensity 14
- 40.60 deg, d = 2.222 Å, intensity 18
- 41.03 deg, d = 2.200 Å, intensity 17
- 42.24 deg, d = 2.140 Å, intensity 16
- 43.22 deg, d = 2.093 Å, intensity 15